Starting from a DFT-relaxed cell (GGA-PBE, Alexandria), the X-ray powder pattern of PmPrIn4 was calculated for CuKα.
Kinematic intensities with the Lorentz-polarization factor, no thermal factor.

Crystal structure
```
6
Lattice="-2.380 3.774 4.591 2.380 -3.774 4.591 2.380 3.774 -4.591" Properties=species:S:1:pos:R:3 pbc="T T T"
Pm 0.000 0.000 0.000
Pr 2.380 0.000 3.529
In 2.380 2.224 0.920
In 0.000 2.245 2.585
In 0.000 1.550 5.511
In 0.000 5.304 2.585
```

Peak list (10 most intense, 10 to 90 degrees two-theta, by angle)
| 2θ/deg | I/Imax |
| --- | --- |
| 29.5 | 51 |
| 30.7 | 34 |
| 31.8 | 100 |
| 34.9 | 60 |
| 37.0 | 23 |
| 37.8 | 39 |
| 49.4 | 18 |
| 54.0 | 15 |
| 57.7 | 24 |
| 68.3 | 17 |